Entry 1:
Starting from a GGA-PBE-relaxed structure, the powder XRD pattern of Ce3Pm4DyN8 was simulated for λ = 1.5418 Å (Cu Kα).
Neutral-atom scattering factors, no anomalous dispersion.

Lattice parameters (Å, degrees): 7.148 7.148 7.148 59.98 59.98 59.98
Fractional coordinates of all 16 atoms:
Ce: 0.000 0.500 0.500
Ce: 0.500 0.000 0.500
Ce: 0.500 0.500 0.000
Pm: 0.000 0.000 0.500
Pm: 0.000 0.500 0.000
Pm: 0.500 0.000 0.000
Pm: 0.500 0.500 0.500
Dy: 0.000 0.000 0.000
N: 0.246 0.246 0.744
N: 0.246 0.744 0.246
N: 0.254 0.254 0.254
N: 0.256 0.754 0.754
N: 0.744 0.246 0.246
N: 0.746 0.746 0.746
N: 0.754 0.256 0.754
N: 0.754 0.754 0.256

Main lines, by angle (5° ≤ 2θ ≤ 70°):
| 2θ/deg | intensity |
| --- | --- |
| 30.6 | 1000 |
| 35.5 | 740 |
| 51.1 | 511 |
| 60.8 | 453 |
| 63.8 | 172 |

=====

Entry 2:
Starting from a GGA-PBE-relaxed structure, the powder XRD pattern of Tb3Ga2Co was simulated for λ = 1.5418 Å (Cu Kα).
Neutral-atom scattering factors, no anomalous dispersion.

Lattice parameters (Å, degrees): 11.786 4.141 11.299 90.00 90.00 90.00
Fractional coordinates of all 24 atoms:
Tb: 0.048 0.250 0.128
Tb: 0.116 0.750 0.555
Tb: 0.232 0.250 0.797
Tb: 0.268 0.750 0.297
Tb: 0.384 0.250 0.055
Tb: 0.452 0.750 0.628
Tb: 0.548 0.250 0.372
Tb: 0.616 0.750 0.945
Tb: 0.732 0.250 0.703
Tb: 0.768 0.750 0.203
Tb: 0.884 0.250 0.445
Tb: 0.952 0.750 0.872
Ga: 0.015 0.750 0.310
Ga: 0.195 0.750 0.998
Ga: 0.305 0.250 0.498
Ga: 0.485 0.250 0.810
Ga: 0.515 0.750 0.190
Ga: 0.695 0.750 0.502
Ga: 0.805 0.250 0.002
Ga: 0.985 0.250 0.690
Co: 0.126 0.250 0.378
Co: 0.374 0.750 0.878
Co: 0.626 0.250 0.122
Co: 0.874 0.750 0.622

Main lines, by angle (5° ≤ 2θ ≤ 70°):
| 2θ/deg | intensity |
| --- | --- |
| 27.5 | 526 |
| 27.7 | 444 |
| 30.8 | 444 |
| 32.1 | 1000 |
| 32.4 | 347 |
| 32.6 | 324 |
| 34.3 | 358 |
| 35.3 | 919 |
| 38.3 | 449 |
| 41.6 | 251 |
| 43.7 | 558 |
| 50.7 | 288 |

=====

Entry 3:
Starting from a GGA-PBE-relaxed structure, the powder XRD pattern of NdSiRu2N was simulated for λ = 1.5418 Å (Cu Kα).
Neutral-atom scattering factors, no anomalous dispersion.

Lattice parameters (Å, degrees): 5.984 5.984 7.162 90.00 90.00 142.77
Fractional coordinates of all 10 atoms:
Nd: 0.047 0.953 0.750
Nd: 0.953 0.047 0.250
Si: 0.229 0.771 0.250
Si: 0.771 0.229 0.750
Ru: 0.336 0.664 0.554
Ru: 0.336 0.664 0.946
Ru: 0.664 0.336 0.054
Ru: 0.664 0.336 0.446
N: 0.500 0.500 0.000
N: 0.500 0.500 0.500

Main lines, by angle (5° ≤ 2θ ≤ 70°):
| 2θ/deg | intensity |
| --- | --- |
| 27.6 | 174 |
| 29.5 | 333 |
| 33.3 | 763 |
| 34.0 | 410 |
| 35.3 | 1000 |
| 35.7 | 341 |
| 41.0 | 299 |
| 45.5 | 157 |
| 47.6 | 285 |
| 59.8 | 159 |
| 61.4 | 272 |
| 64.6 | 153 |